Calculated X-ray powder pattern
Compound: Sr7Pt3
Radiation: λ = 1.5418 Å (Cu Kα)
Structure: a crystal structure in Alexandria, relaxed with GGA-PBE
Intensities are scaled so that the largest is 100.

Crystal structure
Cell lengths 7.9983, 24.4216, 7.1928 Å; angles 90.00, 90.00, 90.00 degrees
Space group Pnma (No. 62)
One atom of each set of equivalent atoms:
1 Sr 0.0425 0.1178 0.1550
2 Sr 0.1684 0.0223 0.6770
3 Sr 0.1761 0.7500 0.6474
4 Sr 0.1795 0.1742 0.6848
5 Pt 0.0214 0.7500 0.0342
6 Pt 0.1222 0.5948 0.4633

Principal peaks in the range 10° ≤ 2θ ≤ 90°, low angle first:
hkl, 2theta, intensity
1 2 1, 18.11, 100
1 3 1, 19.86, 59
1 3 2, 29.38, 91
0 6 2, 33.24, 61
2 1 2, 33.76, 72
3 0 1, 35.92, 60